Na2GaPPt6: theoretical X-ray diffraction stick pattern (a wavelength of 1.5418 Å), based on the PBE geometry in Alexandria.

Crystal structure
Lattice parameters (Å, degrees): 5.6707 8.6697 7.8777 90.00 90.00 90.00
Space group Pmmn (No. 59, origin choice 2)
Symmetry-distinct sites (fractional):
Na (0.2500, 0.0366, 0.2014) x4
Ga (0.2500, 0.7500, 0.7847) x2
P (0.2500, 0.2500, 0.7331) x2
Pt (0.0128, 0.7500, 0.4986) x4
Pt (0.0196, 0.7500, 0.0574) x4
Pt (0.2500, 0.0013, 0.5988) x4

Largest 6 diffraction maxima, sorted by position, 15 to 90 degrees two-theta:
index, 2θ/deg, d [Å], I (rel.)
0 2 0, 20.49, 4.335, 41
0 0 2, 22.57, 3.939, 70
2 2 0, 37.92, 2.373, 100
0 4 0, 41.67, 2.167, 55
1 2 3, 43.33, 2.088, 39
2 2 2, 44.58, 2.033, 78